The following is a simulated X-ray diffraction stick pattern of TmCdP2Rh5. It was derived from a DFT-relaxed cell (GGA-PBE, Alexandria), using CuKα.

Top 6 peaks for 2θ = 10–80°, by intensity:
- 37.6 deg, I = 100, hkl 1 1 2
- 43.9 deg, I = 38, hkl 2 0 0
- 76.4 deg, I = 24, hkl 3 1 2
- 63.2 deg, I = 19, hkl 2 0 4
- 43.2 deg, I = 15, hkl 0 0 4
- 75.4 deg, I = 14, hkl 1 1 6

Structural model:
```
data_TmCdP2Rh5
_cell_length_a 4.127
_cell_length_b 4.127
_cell_length_c 8.384
_cell_angle_alpha 90.00
_cell_angle_beta 90.00
_cell_angle_gamma 90.00
_symmetry_space_group_name_H-M 'P 4/m m m'
_symmetry_Int_Tables_number 123
_symmetry_space_group_name_Hall '-P 4 2'
loop_
_atom_site_label
_atom_site_type_symbol
_atom_site_fract_x
_atom_site_fract_y
_atom_site_fract_z
_atom_site_occupancy
Tm1 Tm 0.000 0.000 0.000 1
Cd1 Cd 0.000 0.000 0.500 1
P1 P 0.500 0.500 0.364 1
Rh1 Rh 0.000 0.500 0.247 1
Rh2 Rh 0.500 0.500 0.000 1
```

The following is a simulated X-ray diffraction stick pattern of AcAlCuAg6. It was derived from a DFT-relaxed cell (GGA-PBE, Alexandria), using CuKα.

Top 6 peaks for 2θ = 10–80°, by intensity:
- 36.5 deg, I = 100, hkl 2 2 0
- 31.8 deg, I = 93, hkl 0 2 4
- 40.1 deg, I = 88, hkl 0 4 0
- 31.2 deg, I = 44, hkl 1 2 3
- 39.5 deg, I = 39, hkl 2 0 4
- 32.9 deg, I = 32, hkl 2 0 2

Structural model:
```
data_AcAlCuAg6
_cell_length_a 5.888
_cell_length_b 8.998
_cell_length_c 14.447
_cell_angle_alpha 90.00
_cell_angle_beta 90.00
_cell_angle_gamma 90.00
_symmetry_space_group_name_H-M 'I m m a'
_symmetry_Int_Tables_number 74
_symmetry_space_group_name_Hall '-I 2b 2'
loop_
_atom_site_label
_atom_site_type_symbol
_atom_site_fract_x
_atom_site_fract_y
_atom_site_fract_z
_atom_site_occupancy
Ac1 Ac 0.000 0.250 0.001 1
Al1 Al 0.000 0.000 0.500 1
Cu1 Cu 0.250 0.250 0.250 1
Ag1 Ag 0.000 0.250 0.402 1
Ag2 Ag 0.000 0.250 0.748 1
Ag3 Ag 0.243 0.012 0.848 1
```